Rb2PaAs3O12: simulated X-ray diffraction stick pattern (Cu Kα, 1.54184 Å), based on a structure optimized by DFT (PBE).
Kinematic intensities with the Lorentz-polarization factor, no thermal factor.

The 10 most intense peaks (10° ≤ 2θ ≤ 90°), sorted by position:
(hkl)	2theta	d_spacing	I_rel
1 0 1	15.43	5.744	65
0 1 2	17.49	5.071	28
1 1 0	25.56	3.485	32
0 1 5	28.06	3.180	71
1 1 3	29.36	3.042	100
2 0 2	31.14	2.872	63
1 2 5	46.63	1.948	27
3 0 3	47.49	1.915	30
2 0 8	49.30	1.848	29
2 2 0	52.52	1.742	32

Atomic structure:
```
data_Rb2PaAs3O12
_symmetry_space_group_name_H-M 'R -3 m'
_symmetry_Int_Tables_number 166
_symmetry_space_group_name_Hall '-R 3 2"'
_cell_length_a 6.9692
_cell_length_b 6.9692
_cell_length_c 18.7061
_cell_angle_alpha 90.00
_cell_angle_beta 90.00
_cell_angle_gamma 120.00
loop_
_atom_site_label
_atom_site_type_symbol
_atom_site_fract_x
_atom_site_fract_y
_atom_site_fract_z
Rb1 Rb 0.0000 0.0000 0.1122
Pa1 Pa 0.0000 0.0000 0.5000
As1 As 0.0000 0.5000 0.0000
O1 O 0.0508 0.5254 0.0968
O2 O 0.0671 0.5336 0.3502
```


Sr2GaSiPd6: simulated X-ray diffraction stick pattern (Cu Kα, 1.54184 Å), based on a structure optimized by DFT (PBE).
Kinematic intensities with the Lorentz-polarization factor, no thermal factor.

The 10 most intense peaks (10° ≤ 2θ ≤ 90°), sorted by position:
(hkl)	2theta	d_spacing	I_rel
2 0 -1	15.17	5.842	24
1 1 -2	28.61	3.120	32
0 0 2	29.03	3.075	36
3 1 -2	29.41	3.037	37
4 0 -2	30.61	2.921	43
2 2 0	36.82	2.441	100
2 2 -2	38.58	2.334	83
4 0 0	39.42	2.286	63
1 1 2	39.56	2.278	22
6 2 -2	57.27	1.609	27

Atomic structure:
```
data_Sr2GaSiPd6
_symmetry_space_group_name_H-M 'C 1 2/m 1'
_symmetry_Int_Tables_number 12
_symmetry_space_group_name_Hall '-C 2y'
_cell_length_a 11.8032
_cell_length_b 5.7736
_cell_length_c 7.9397
_cell_angle_alpha 90.00
_cell_angle_beta 129.22
_cell_angle_gamma 90.00
loop_
_atom_site_label
_atom_site_type_symbol
_atom_site_fract_x
_atom_site_fract_y
_atom_site_fract_z
Sr1 Sr 0.2384 0.0000 0.1972
Ga1 Ga 0.0000 0.5000 0.0000
Si1 Si 0.0000 0.0000 0.5000
Pd1 Pd 0.0182 0.2566 0.2845
Pd2 Pd 0.2489 0.0000 0.6281
```


SrPaCd2O6: simulated X-ray diffraction stick pattern (Cu Kα, 1.54184 Å), based on a structure optimized by DFT (PBE).
Kinematic intensities with the Lorentz-polarization factor, no thermal factor.

The 10 most intense peaks (10° ≤ 2θ ≤ 90°), sorted by position:
(hkl)	2theta	d_spacing	I_rel
0 0 3	16.75	5.293	15
1 0 1	18.27	4.856	26
0 1 2	20.70	4.291	31
1 0 4	28.49	3.133	99
1 1 0	30.36	2.944	100
2 -1 3	34.87	2.573	17
0 2 4	42.12	2.145	39
2 -1 6	46.12	1.968	45
3 -1 4	52.80	1.734	39
3 0 0	53.94	1.700	30

Atomic structure:
```
data_SrPaCd2O6
_symmetry_space_group_name_H-M 'R 3'
_symmetry_Int_Tables_number 146
_symmetry_space_group_name_Hall 'R 3'
_cell_length_a 5.8887
_cell_length_b 5.8887
_cell_length_c 15.8799
_cell_angle_alpha 90.00
_cell_angle_beta 90.00
_cell_angle_gamma 120.00
loop_
_atom_site_label
_atom_site_type_symbol
_atom_site_fract_x
_atom_site_fract_y
_atom_site_fract_z
Sr1 Sr 0.0000 0.0000 0.0000
Pa1 Pa 0.0000 0.0000 0.4873
Cd1 Cd 0.0000 0.0000 0.2764
Cd2 Cd 0.0000 0.0000 0.7885
O1 O 0.0224 0.3391 0.5532
O2 O 0.0253 0.7349 0.3964
```


LiLaTcH6: simulated X-ray diffraction stick pattern (Cu Kα, 1.54184 Å), based on a structure optimized by DFT (PBE).
Kinematic intensities with the Lorentz-polarization factor, no thermal factor.

The 10 most intense peaks (10° ≤ 2θ ≤ 90°), sorted by position:
(hkl)	2theta	d_spacing	I_rel
0 1 1	21.78	4.081	39
0 0 2	22.53	3.946	12
1 1 1	29.28	3.051	100
1 0 2	29.85	2.993	54
0 2 0	37.74	2.384	18
0 1 3	39.11	2.303	32
2 0 0	39.23	2.297	15
1 2 2	48.84	1.865	27
2 1 3	56.59	1.626	22
1 1 5	65.53	1.424	12

Atomic structure:
```
data_LiLaTcH6
_symmetry_space_group_name_H-M 'A m m 2'
_symmetry_Int_Tables_number 38
_symmetry_space_group_name_Hall 'A 2 -2'
_cell_length_a 4.5933
_cell_length_b 4.7675
_cell_length_c 7.8916
_cell_angle_alpha 90.00
_cell_angle_beta 90.00
_cell_angle_gamma 90.00
loop_
_atom_site_label
_atom_site_type_symbol
_atom_site_fract_x
_atom_site_fract_y
_atom_site_fract_z
Li1 Li 0.0000 0.0000 0.0000
La1 La 0.5000 0.0000 0.6643
Tc1 Tc 0.0000 0.0000 0.3434
H1 H 0.2523 0.0000 0.1824
H2 H 0.2622 0.2452 0.4036
```


Cr2Co5H2: simulated X-ray diffraction stick pattern (Cu Kα, 1.54184 Å), based on a structure optimized by DFT (PBE).
Kinematic intensities with the Lorentz-polarization factor, no thermal factor.

The 8 most intense peaks (10° ≤ 2θ ≤ 90°), sorted by position:
(hkl)	2theta	d_spacing	I_rel
2 0 1	29.30	3.048	1
3 1 -1	44.00	2.058	100
4 0 1	50.81	1.797	16
0 2 0	51.17	1.785	16
2 0 -3	51.80	1.765	15
4 2 1	74.99	1.266	9
6 0 -2	75.50	1.259	9
2 2 -3	75.79	1.255	9

Atomic structure:
```
data_Cr2Co5H2
_symmetry_space_group_name_H-M 'C 1 2/m 1'
_symmetry_Int_Tables_number 12
_symmetry_space_group_name_Hall '-C 2y'
_cell_length_a 8.0075
_cell_length_b 3.5701
_cell_length_c 5.5923
_cell_angle_alpha 90.00
_cell_angle_beta 97.40
_cell_angle_gamma 90.00
loop_
_atom_site_label
_atom_site_type_symbol
_atom_site_fract_x
_atom_site_fract_y
_atom_site_fract_z
Cr1 Cr 0.0643 0.0000 0.1984
Co1 Co 0.0000 0.5000 0.5000
Co2 Co 0.1389 0.5000 0.9316
Co3 Co 0.2117 0.0000 0.6458
H1 H 0.2085 0.5000 0.6392
```


Ac2Mg5Ir4: simulated X-ray diffraction stick pattern (Cu Kα, 1.54184 Å), based on a structure optimized by DFT (PBE).
Kinematic intensities with the Lorentz-polarization factor, no thermal factor.

The 10 most intense peaks (10° ≤ 2θ ≤ 90°), sorted by position:
(hkl)	2theta	d_spacing	I_rel
2 0 0	15.38	5.760	100
1 1 0	16.81	5.275	54
1 1 -1	18.71	4.744	56
3 1 -1	24.83	3.586	68
1 1 -2	27.77	3.213	64
0 2 0	30.12	2.967	96
1 1 2	34.84	2.575	74
5 1 -2	37.06	2.426	74
1 1 -3	39.62	2.275	60
4 2 1	50.86	1.795	51

Atomic structure:
```
data_Ac2Mg5Ir4
_symmetry_space_group_name_H-M 'C 1 2/m 1'
_symmetry_Int_Tables_number 12
_symmetry_space_group_name_Hall '-C 2y'
_cell_length_a 13.5200
_cell_length_b 5.9338
_cell_length_c 7.9177
_cell_angle_alpha 90.00
_cell_angle_beta 121.56
_cell_angle_gamma 90.00
loop_
_atom_site_label
_atom_site_type_symbol
_atom_site_fract_x
_atom_site_fract_y
_atom_site_fract_z
Ac1 Ac 0.2171 0.0000 0.1201
Mg1 Mg 0.0000 0.5000 0.0000
Mg2 Mg 0.0984 0.2501 0.3953
Ir1 Ir 0.0898 0.0000 0.6767
Ir2 Ir 0.2135 0.5000 0.2761
```


BaGe6As8: simulated X-ray diffraction stick pattern (Cu Kα, 1.54184 Å), based on a structure optimized by DFT (PBE).
Kinematic intensities with the Lorentz-polarization factor, no thermal factor.

The 10 most intense peaks (10° ≤ 2θ ≤ 90°), sorted by position:
(hkl)	2theta	d_spacing	I_rel
1 0 1	11.96	7.397	23
0 0 3	17.36	5.109	51
0 2 1	21.83	4.071	46
2 -1 3	25.25	3.527	63
2 1 1	28.56	3.125	80
0 2 4	31.53	2.838	35
2 1 4	36.64	2.453	100
1 3 1	38.89	2.316	24
3 -2 5	40.81	2.211	56
4 1 0	49.45	1.843	43

Atomic structure:
```
data_BaGe6As8
_symmetry_space_group_name_H-M 'R -3'
_symmetry_Int_Tables_number 148
_symmetry_space_group_name_Hall '-R 3'
_cell_length_a 9.7525
_cell_length_b 9.7525
_cell_length_c 15.3267
_cell_angle_alpha 90.00
_cell_angle_beta 90.00
_cell_angle_gamma 120.00
loop_
_atom_site_label
_atom_site_type_symbol
_atom_site_fract_x
_atom_site_fract_y
_atom_site_fract_z
Ba1 Ba 0.0000 0.0000 0.0000
Ge1 Ge 0.0053 0.8152 0.3367
As1 As 0.0000 0.0000 0.2229
As2 As 0.0217 0.7596 0.5746
```


Tb2HPbO: simulated X-ray diffraction stick pattern (Cu Kα, 1.54184 Å), based on a structure optimized by DFT (PBE).
Kinematic intensities with the Lorentz-polarization factor, no thermal factor.

The 10 most intense peaks (10° ≤ 2θ ≤ 90°), sorted by position:
(hkl)	2theta	d_spacing	I_rel
1 0 3	31.06	2.880	100
1 1 0	33.50	2.675	39
0 0 6	40.65	2.220	11
2 0 0	48.10	1.892	16
1 1 6	53.65	1.708	22
2 1 3	58.36	1.581	34
2 0 6	64.75	1.440	11
1 0 9	68.03	1.378	9
3 0 3	78.91	1.213	7
2 1 9	87.59	1.114	9

Atomic structure:
```
data_Tb2HPbO
_symmetry_space_group_name_H-M 'I -4 m 2'
_symmetry_Int_Tables_number 119
_symmetry_space_group_name_Hall 'I -4 -2'
_cell_length_a 3.7835
_cell_length_b 3.7835
_cell_length_c 13.3178
_cell_angle_alpha 90.00
_cell_angle_beta 90.00
_cell_angle_gamma 90.00
loop_
_atom_site_label
_atom_site_type_symbol
_atom_site_fract_x
_atom_site_fract_y
_atom_site_fract_z
Tb1 Tb 0.0000 0.0000 0.1560
H1 H 0.0000 0.5000 0.7500
Pb1 Pb 0.0000 0.0000 0.5000
O1 O 0.0000 0.5000 0.2500
```